Record 1
Theoretical PXRD pattern
Compound: Cs2AcAl2S6
Radiation: Cu Kα X-rays
Structure: a PBE-relaxed structure
Kinematic intensities with the Lorentz-polarization factor, no thermal factor.

Peak list (10 most intense, 10° ≤ 2θ ≤ 90°, by angle)
hkl	2θ (°)	I_rel
1 0 1	14.10	60
1 0 4	20.00	30
0 1 5	22.84	100
1 1 0	23.71	72
0 2 4	31.21	45
2 0 5	33.16	45
1 0 10	39.58	37
1 2 5	41.17	66
2 1 10	52.99	27
3 1 5	54.27	30

Crystal structure
```
data_Cs2AcAl2S6
_chemical_formula_sum 'Cs6 Ac3 Al6 S18'
_cell_length_a 7.5060
_cell_length_b 7.5060
_cell_length_c 24.3060
_cell_angle_alpha 90.00
_cell_angle_beta 90.00
_cell_angle_gamma 120.00
_symmetry_space_group_name_H-M 'R -3 m'
_symmetry_Int_Tables_number 166
_symmetry_space_group_name_Hall '-R 3 2"'
loop_
_atom_site_label
_atom_site_type_symbol
_atom_site_fract_x
_atom_site_fract_y
_atom_site_fract_z
Cs1 Cs 0.0000 0.0000 0.2087
Ac1 Ac 0.0000 0.0000 0.0000
Al1 Al 0.0000 0.0000 0.4119
S1 S 0.0009 0.5004 0.2503
```

---

Record 2
Theoretical PXRD pattern
Compound: Ac2Al3Cu6
Radiation: Cu Kα X-rays
Structure: a PBE-relaxed structure
Kinematic intensities with the Lorentz-polarization factor, no thermal factor.

Peak list (10 most intense, 10° ≤ 2θ ≤ 90°, by angle)
hkl	2θ (°)	I_rel
0 2 0	16.42	26
2 2 0	24.44	40
0 2 1	27.58	47
2 0 1	28.56	81
2 2 1	33.12	100
1 3 1	34.59	64
3 3 0	37.03	41
4 2 0	40.19	38
4 0 1	42.92	39
0 0 2	44.87	31

Crystal structure
```
data_Ac2Al3Cu6
_chemical_formula_sum 'Ac4 Al6 Cu12'
_cell_length_a 9.8655
_cell_length_b 10.7976
_cell_length_c 4.0397
_cell_angle_alpha 90.00
_cell_angle_beta 90.00
_cell_angle_gamma 90.00
_symmetry_space_group_name_H-M 'C m m m'
_symmetry_Int_Tables_number 65
_symmetry_space_group_name_Hall '-C 2 2'
loop_
_atom_site_label
_atom_site_type_symbol
_atom_site_fract_x
_atom_site_fract_y
_atom_site_fract_z
Ac1 Ac 0.0000 0.2115 0.0000
Al1 Al 0.0000 0.5000 0.5000
Al2 Al 0.2057 0.5000 0.0000
Cu1 Cu 0.1193 0.0000 0.5000
Cu2 Cu 0.1991 0.3519 0.5000
```

---

Record 3
Theoretical PXRD pattern
Compound: Ac3Al5Cu6
Radiation: Cu Kα X-rays
Structure: a PBE-relaxed structure
Kinematic intensities with the Lorentz-polarization factor, no thermal factor.

Peak list (10 most intense, 10° ≤ 2θ ≤ 90°, by angle)
hkl	2θ (°)	I_rel
1 1 0	21.89	57
0 1 3	22.21	48
1 0 3	28.20	16
1 2 3	34.30	100
1 1 4	34.86	16
1 3 0	35.16	38
0 3 3	35.38	26
0 4 0	38.82	16
2 0 0	39.93	30
3 2 3	68.88	19

Crystal structure
```
data_Ac3Al5Cu6
_chemical_formula_sum 'Ac6 Al10 Cu12'
_cell_length_a 4.5159
_cell_length_b 9.2787
_cell_length_c 13.3076
_cell_angle_alpha 90.00
_cell_angle_beta 90.00
_cell_angle_gamma 90.00
_symmetry_space_group_name_H-M 'I m m m'
_symmetry_Int_Tables_number 71
_symmetry_space_group_name_Hall '-I 2 2'
loop_
_atom_site_label
_atom_site_type_symbol
_atom_site_fract_x
_atom_site_fract_y
_atom_site_fract_z
Ac1 Ac 0.0000 0.0000 0.0000
Ac2 Ac 0.0000 0.0000 0.3076
Al1 Al 0.0000 0.3468 0.3354
Al2 Al 0.0000 0.5000 0.0000
Cu1 Cu 0.0000 0.2038 0.5000
Cu2 Cu 0.0000 0.2806 0.1266
```

---

Record 4
Theoretical PXRD pattern
Compound: Ac2AlCu9
Radiation: Cu Kα X-rays
Structure: a PBE-relaxed structure
Kinematic intensities with the Lorentz-polarization factor, no thermal factor.

Peak list (10 most intense, 10° ≤ 2θ ≤ 90°, by angle)
hkl	2θ (°)	I_rel
0 0 3	10.06	38
1 0 4	24.05	64
1 0 7	31.04	46
0 1 8	33.79	63
1 1 0	34.75	56
1 1 3	36.27	27
0 2 1	40.51	100
0 1 11	42.76	71
2 0 5	43.99	41
2 2 0	73.35	25

Crystal structure
```
data_Ac2AlCu9
_chemical_formula_sum 'Ac6 Al3 Cu27'
_cell_length_a 5.1632
_cell_length_b 5.1632
_cell_length_c 26.3662
_cell_angle_alpha 90.00
_cell_angle_beta 90.00
_cell_angle_gamma 120.00
_symmetry_space_group_name_H-M 'R -3 m'
_symmetry_Int_Tables_number 166
_symmetry_space_group_name_Hall '-R 3 2"'
loop_
_atom_site_label
_atom_site_type_symbol
_atom_site_fract_x
_atom_site_fract_y
_atom_site_fract_z
Ac1 Ac 0.0000 0.0000 0.1324
Al1 Al 0.0000 0.0000 0.0000
Cu1 Cu 0.0000 0.0000 0.3331
Cu2 Cu 0.0000 0.0000 0.5000
Cu3 Cu 0.0003 0.5001 0.0751
```

---

Record 5
Theoretical PXRD pattern
Compound: Ac3Al8Cu3
Radiation: Cu Kα X-rays
Structure: a PBE-relaxed structure
Kinematic intensities with the Lorentz-polarization factor, no thermal factor.

Peak list (10 most intense, 10° ≤ 2θ ≤ 90°, by angle)
hkl	2θ (°)	I_rel
0 2 0	17.14	35
1 1 0	21.35	52
0 1 3	22.61	42
1 0 3	28.75	37
1 3 0	32.58	35
0 3 3	33.45	30
1 2 3	33.66	100
0 4 0	34.67	20
2 0 0	39.64	25
0 2 6	46.14	21

Crystal structure
```
data_Ac3Al8Cu3
_chemical_formula_sum 'Ac6 Al16 Cu6'
_cell_length_a 4.5468
_cell_length_b 10.3488
_cell_length_c 12.7543
_cell_angle_alpha 90.00
_cell_angle_beta 90.00
_cell_angle_gamma 90.00
_symmetry_space_group_name_H-M 'I m m m'
_symmetry_Int_Tables_number 71
_symmetry_space_group_name_Hall '-I 2 2'
loop_
_atom_site_label
_atom_site_type_symbol
_atom_site_fract_x
_atom_site_fract_y
_atom_site_fract_z
Ac1 Ac 0.0000 0.0000 0.0000
Ac2 Ac 0.0000 0.0000 0.3158
Al1 Al 0.0000 0.2846 0.1167
Al2 Al 0.0000 0.3576 0.3339
Cu1 Cu 0.0000 0.2301 0.5000
Cu2 Cu 0.0000 0.5000 0.0000
```

---

Record 6
Theoretical PXRD pattern
Compound: Ac2Al5Cu4
Radiation: Cu Kα X-rays
Structure: a PBE-relaxed structure
Kinematic intensities with the Lorentz-polarization factor, no thermal factor.

Peak list (10 most intense, 10° ≤ 2θ ≤ 90°, by angle)
hkl	2θ (°)	I_rel
0 0 4	23.59	58
1 1 3	25.19	41
0 2 4	29.66	41
2 0 0	31.22	38
1 3 1	31.58	68
1 3 3	35.89	100
2 2 0	36.13	32
2 0 4	39.51	59
1 3 7	53.05	33
3 3 3	58.63	32

Crystal structure
```
data_Ac2Al5Cu4
_chemical_formula_sum 'Ac8 Al20 Cu16'
_cell_length_a 5.7290
_cell_length_b 10.0143
_cell_length_c 15.0843
_cell_angle_alpha 90.00
_cell_angle_beta 90.00
_cell_angle_gamma 90.00
_symmetry_space_group_name_H-M 'F m m m'
_symmetry_Int_Tables_number 69
_symmetry_space_group_name_Hall '-F 2 2'
loop_
_atom_site_label
_atom_site_type_symbol
_atom_site_fract_x
_atom_site_fract_y
_atom_site_fract_z
Ac1 Ac 0.0000 0.0000 0.1353
Al1 Al 0.0000 0.0000 0.5000
Al2 Al 0.2500 0.2500 0.0000
Al3 Al 0.2500 0.2500 0.2500
Cu1 Cu 0.0000 0.1455 0.3661
```

---

Record 7
Theoretical PXRD pattern
Compound: Ac2Al5Cu5
Radiation: Cu Kα X-rays
Structure: a PBE-relaxed structure
Kinematic intensities with the Lorentz-polarization factor, no thermal factor.

Peak list (10 most intense, 10° ≤ 2θ ≤ 90°, by angle)
hkl	2θ (°)	I_rel
0 0 2	18.66	27
1 0 0	20.96	34
1 1 1	28.23	41
0 1 3	32.59	34
0 2 0	32.70	22
1 1 3	39.10	100
2 0 0	42.67	18
2 2 0	54.73	26
0 3 3	58.33	20
1 3 3	62.65	18

Crystal structure
```
data_Ac2Al5Cu5
_chemical_formula_sum 'Ac2 Al5 Cu5'
_cell_length_a 4.2377
_cell_length_b 5.4775
_cell_length_c 9.5272
_cell_angle_alpha 90.00
_cell_angle_beta 90.00
_cell_angle_gamma 90.00
_symmetry_space_group_name_H-M 'P m m m'
_symmetry_Int_Tables_number 47
_symmetry_space_group_name_Hall '-P 2 2'
loop_
_atom_site_label
_atom_site_type_symbol
_atom_site_fract_x
_atom_site_fract_y
_atom_site_fract_z
Ac1 Ac 0.0000 0.0000 0.0000
Ac2 Ac 0.0000 0.5000 0.5000
Al1 Al 0.5000 0.0000 0.5000
Al2 Al 0.5000 0.2517 0.2414
Cu1 Cu 0.0000 0.0000 0.3322
Cu2 Cu 0.0000 0.5000 0.1685
Cu3 Cu 0.5000 0.5000 0.0000
```

---

Record 8
Theoretical PXRD pattern
Compound: Ac4AlCu
Radiation: Cu Kα X-rays
Structure: a PBE-relaxed structure
Kinematic intensities with the Lorentz-polarization factor, no thermal factor.

Peak list (10 most intense, 10° ≤ 2θ ≤ 90°, by angle)
hkl	2θ (°)	I_rel
0 0 2	23.08	39
1 1 0	23.33	77
1 1 2	33.05	100
2 0 0	33.24	50
2 0 2	40.85	37
2 2 0	47.71	18
2 2 2	53.64	17
3 1 0	53.77	17
2 0 4	58.92	19
3 1 2	59.27	39

Crystal structure
```
data_Ac4AlCu
_chemical_formula_sum 'Ac4 Al1 Cu1'
_cell_length_a 5.3912
_cell_length_b 5.3912
_cell_length_c 7.7077
_cell_angle_alpha 90.00
_cell_angle_beta 90.00
_cell_angle_gamma 90.00
_symmetry_space_group_name_H-M 'P 4 m m'
_symmetry_Int_Tables_number 99
_symmetry_space_group_name_Hall 'P 4 -2'
loop_
_atom_site_label
_atom_site_type_symbol
_atom_site_fract_x
_atom_site_fract_y
_atom_site_fract_z
Ac1 Ac 0.0000 0.5000 0.0000
Ac2 Ac 0.0000 0.5000 0.4853
Al1 Al 0.0000 0.0000 0.7427
Cu1 Cu 0.5000 0.5000 0.2433
```